Entry 1:
Calculated powder diffractogram of ZnH6CBr3N3 for Cu Kα, from a structure optimized by DFT (PBE).
Peak positions follow from Bragg's law for the DFT cell and can differ from measured ones.

a = 4.0073 Å, b = 7.6290 Å, c = 7.7719 Å
α = 98.94°, β = 91.82°, γ = 90.36°
Space group P1 (No. 1)
One atom of each set of equivalent atoms:
Zn 0.0000 0.0000 0.0000 (multiplicity 1)
H 0.2876 0.8221 0.4162 (multiplicity 1)
H 0.3257 0.7530 0.6198 (multiplicity 1)
H 0.3429 0.5967 0.1624 (multiplicity 1)
H 0.5354 0.3996 0.1890 (multiplicity 1)
H 0.6278 0.4967 0.6480 (multiplicity 1)
H 0.6490 0.3300 0.4666 (multiplicity 1)
C 0.4648 0.5681 0.4171 (multiplicity 1)
Br 0.0084 0.0792 0.3103 (multiplicity 1)
Br 0.0278 0.6874 0.8987 (multiplicity 1)
Br 0.4988 0.1408 0.8784 (multiplicity 1)
N 0.3663 0.7292 0.4895 (multiplicity 1)
N 0.4602 0.5220 0.2437 (multiplicity 1)
N 0.5712 0.4529 0.5199 (multiplicity 1)

Main lines, in order of falling intensity (2θ from 10° to 90°):
(0 0 1), 2θ = 11.53°, rel. 100; (0 1 0), 2θ = 11.74°, rel. 87; (1 1 -1), 2θ = 26.77°, rel. 83; (1 -1 3), 2θ = 42.58°, rel. 80; (1 -1 1), 2θ = 27.19°, rel. 78; (0 0 2), 2θ = 23.18°, rel. 76; (0 2 0), 2θ = 23.61°, rel. 69; (0 1 -1), 2θ = 15.14°, rel. 60; (2 0 0), 2θ = 45.27°, rel. 30; (0 2 1), 2θ = 27.96°, rel. 30

=====

Entry 2:
Calculated powder diffractogram of ZnH6CBr3N3 for Cu Kα, from a structure optimized by DFT (PBE).
Peak positions follow from Bragg's law for the DFT cell and can differ from measured ones.

a = 7.6274 Å, b = 8.9206 Å, c = 15.4216 Å
α = 90.05°, β = 90.06°, γ = 97.58°
Space group P-1 (No. 2)
One atom of each set of equivalent atoms:
Zn 0.1242 0.2252 0.2090 (multiplicity 2)
Zn 0.3755 0.7746 0.7091 (multiplicity 2)
H 0.2054 0.3924 0.4429 (multiplicity 2)
H 0.2162 0.1308 0.4425 (multiplicity 2)
H 0.2171 0.0309 0.5375 (multiplicity 2)
H 0.2192 0.1607 0.6716 (multiplicity 2)
H 0.2351 0.4927 0.5397 (multiplicity 2)
H 0.2422 0.3573 0.6735 (multiplicity 2)
H 0.2573 0.6420 0.1735 (multiplicity 2)
H 0.2651 0.5065 0.0396 (multiplicity 2)
H 0.2806 0.8386 0.1718 (multiplicity 2)
H 0.2830 0.9683 0.0377 (multiplicity 2)
H 0.2850 0.8684 0.9427 (multiplicity 2)
H 0.2952 0.6068 0.9429 (multiplicity 2)
C 0.2160 0.2604 0.5516 (multiplicity 2)
C 0.2843 0.7388 0.0517 (multiplicity 2)
Br 0.1234 0.4510 0.2902 (multiplicity 2)
Br 0.1778 0.9402 0.7834 (multiplicity 2)
Br 0.1928 0.2288 0.0583 (multiplicity 2)
Br 0.3066 0.7706 0.5584 (multiplicity 2)
Br 0.3224 0.0598 0.2832 (multiplicity 2)
Br 0.3768 0.5489 0.7902 (multiplicity 2)
N 0.1956 0.1291 0.5077 (multiplicity 2)
N 0.2222 0.3907 0.5086 (multiplicity 2)
N 0.2259 0.2596 0.6382 (multiplicity 2)
N 0.2736 0.7397 0.1383 (multiplicity 2)
N 0.2783 0.6085 0.0086 (multiplicity 2)
N 0.3050 0.8701 0.0079 (multiplicity 2)

Main lines, in order of falling intensity (2θ from 10° to 90°):
(0 1 -1), 2θ = 11.52°, rel. 100; (1 -2 2), 2θ = 24.80°, rel. 24; (-1 2 6), 2θ = 41.59°, rel. 15; (1 0 4), 2θ = 25.94°, rel. 14; (2 0 0), 2θ = 23.53°, rel. 13; (0 0 4), 2θ = 23.07°, rel. 12; (2 1 -1), 2θ = 27.47°, rel. 12; (2 1 0), 2θ = 26.84°, rel. 12; (0 2 2), 2θ = 23.19°, rel. 12; (2 -2 2), 2θ = 31.26°, rel. 10

=====

Entry 3:
Calculated powder diffractogram of SnPH6CBr3 for Cu Kα, from a structure optimized by DFT (PBE).
Peak positions follow from Bragg's law for the DFT cell and can differ from measured ones.

a = 7.7458 Å, b = 8.4098 Å, c = 15.6447 Å
α = 89.99°, β = 86.58°, γ = 86.83°
Space group P1 (No. 1)
One atom of each set of equivalent atoms:
Sn 0.0000 0.0000 0.0000 (multiplicity 1)
Sn 0.1284 0.5310 0.4935 (multiplicity 1)
Sn 0.4971 0.0224 0.0069 (multiplicity 1)
Sn 0.6281 0.5304 0.5080 (multiplicity 1)
P 0.2901 0.9804 0.2892 (multiplicity 1)
P 0.3090 0.5933 0.7755 (multiplicity 1)
P 0.7783 0.4651 0.1185 (multiplicity 1)
P 0.8307 0.0000 0.6154 (multiplicity 1)
H 0.1191 0.9612 0.3228 (multiplicity 1)
H 0.1595 0.6810 0.7524 (multiplicity 1)
H 0.1701 0.4168 0.8737 (multiplicity 1)
H 0.2372 0.5910 0.9267 (multiplicity 1)
H 0.2833 0.0882 0.2195 (multiplicity 1)
H 0.3509 0.8297 0.2578 (multiplicity 1)
H 0.3546 0.4785 0.7104 (multiplicity 1)
H 0.3736 0.1684 0.3911 (multiplicity 1)
H 0.3938 0.4338 0.8937 (multiplicity 1)
H 0.4072 0.9665 0.4271 (multiplicity 1)
H 0.4429 0.6989 0.7768 (multiplicity 1)
H 0.5549 0.0467 0.3468 (multiplicity 1)
H 0.6132 0.4023 0.1268 (multiplicity 1)
H 0.6852 0.9163 0.5954 (multiplicity 1)
H 0.6875 0.1702 0.7227 (multiplicity 1)
H 0.7398 0.6608 0.2304 (multiplicity 1)
H 0.7806 0.5734 0.0490 (multiplicity 1)
H 0.7805 0.9900 0.7676 (multiplicity 1)
H 0.8302 0.4734 0.2682 (multiplicity 1)
H 0.8600 0.1167 0.5514 (multiplicity 1)
H 0.9005 0.3390 0.0978 (multiplicity 1)
H 0.9162 0.1473 0.7353 (multiplicity 1)
H 0.9629 0.6034 0.2049 (multiplicity 1)
H 0.9760 0.8919 0.6109 (multiplicity 1)
C 0.2737 0.5000 0.8775 (multiplicity 1)
C 0.4195 0.0470 0.3720 (multiplicity 1)
C 0.8005 0.0854 0.7207 (multiplicity 1)
C 0.8322 0.5596 0.2154 (multiplicity 1)
Br 0.2115 0.7722 0.0820 (multiplicity 1)
Br 0.2310 0.0113 0.8545 (multiplicity 1)
Br 0.2620 0.2550 0.0856 (multiplicity 1)
Br 0.3683 0.5294 0.3512 (multiplicity 1)
Br 0.3807 0.7741 0.5819 (multiplicity 1)
Br 0.4369 0.2880 0.5839 (multiplicity 1)
Br 0.6885 0.0045 0.1569 (multiplicity 1)
Br 0.7011 0.2654 0.9366 (multiplicity 1)
Br 0.8075 0.7730 0.9227 (multiplicity 1)
Br 0.8319 0.5471 0.6532 (multiplicity 1)
Br 0.9150 0.7793 0.4281 (multiplicity 1)
Br 0.9298 0.2940 0.4214 (multiplicity 1)

Main lines, in order of falling intensity (2θ from 10° to 90°):
(0 1 -1), 2θ = 11.97°, rel. 100; (0 0 2), 2θ = 11.33°, rel. 67; (1 -2 2), 2θ = 26.92°, rel. 19; (0 2 6), 2θ = 40.84°, rel. 18; (0 2 -6), 2θ = 40.71°, rel. 16; (-1 2 2), 2θ = 27.57°, rel. 15; (0 4 0), 2θ = 43.09°, rel. 15; (1 2 -2), 2θ = 26.48°, rel. 15; (1 2 2), 2θ = 25.93°, rel. 14; (1 0 -4), 2θ = 26.19°, rel. 14

=====

Entry 4:
Calculated powder diffractogram of SnPH6CBr3 for Cu Kα, from a structure optimized by DFT (PBE).
Peak positions follow from Bragg's law for the DFT cell and can differ from measured ones.

a = 6.1519 Å, b = 8.7139 Å, c = 8.8781 Å
α = 89.20°, β = 89.64°, γ = 89.13°
Space group P1 (No. 1)
One atom of each set of equivalent atoms:
Sn 0.0000 0.0000 0.0000 (multiplicity 1)
Sn 0.0082 0.5062 0.4946 (multiplicity 1)
P 0.4822 0.4108 0.9699 (multiplicity 1)
P 0.4877 0.0073 0.5857 (multiplicity 1)
H 0.2925 0.3696 0.0506 (multiplicity 1)
H 0.2964 0.0881 0.6273 (multiplicity 1)
H 0.3564 0.9079 0.3549 (multiplicity 1)
H 0.3628 0.6611 0.8944 (multiplicity 1)
H 0.4705 0.3484 0.8254 (multiplicity 1)
H 0.4923 0.8674 0.6657 (multiplicity 1)
H 0.4942 0.0865 0.3278 (multiplicity 1)
H 0.5134 0.6644 0.0668 (multiplicity 1)
H 0.6490 0.9128 0.3593 (multiplicity 1)
H 0.6548 0.6416 0.8906 (multiplicity 1)
H 0.6628 0.3452 0.0464 (multiplicity 1)
H 0.6661 0.0947 0.6330 (multiplicity 1)
C 0.4978 0.9753 0.3872 (multiplicity 1)
C 0.5059 0.6149 0.9542 (multiplicity 1)
Br 0.0002 0.7568 0.6834 (multiplicity 1)
Br 0.0114 0.7576 0.1991 (multiplicity 1)
Br 0.4508 0.4724 0.4911 (multiplicity 1)
Br 0.4531 0.0273 0.9716 (multiplicity 1)
Br 0.9741 0.2893 0.7305 (multiplicity 1)
Br 0.9796 0.2246 0.2136 (multiplicity 1)

Main lines, in order of falling intensity (2θ from 10° to 90°):
(0 1 -1), 2θ = 14.37°, rel. 100; (2 0 0), 2θ = 29.03°, rel. 63; (0 1 1), 2θ = 14.14°, rel. 60; (0 2 2), 2θ = 28.51°, rel. 53; (0 2 -2), 2θ = 28.92°, rel. 51; (0 3 -1), 2θ = 32.58°, rel. 34; (-2 2 2), 2θ = 41.46°, rel. 33; (0 3 1), 2θ = 32.28°, rel. 29; (1 2 0), 2θ = 24.84°, rel. 25; (0 0 2), 2θ = 20.04°, rel. 23

=====

Entry 5:
Calculated powder diffractogram of SnPH6CBr3 for Cu Kα, from a structure optimized by DFT (PBE).
Peak positions follow from Bragg's law for the DFT cell and can differ from measured ones.

a = 6.1977 Å, b = 6.2240 Å, c = 6.2670 Å
α = 89.33°, β = 82.64°, γ = 89.65°
Space group P1 (No. 1)
One atom of each set of equivalent atoms:
Sn 0.0000 0.0000 0.0000 (multiplicity 1)
P 0.3998 0.5163 0.4018 (multiplicity 1)
H 0.1847 0.5154 0.5033 (multiplicity 1)
H 0.4308 0.3345 0.2677 (multiplicity 1)
H 0.4309 0.7021 0.2694 (multiplicity 1)
H 0.5611 0.6546 0.6987 (multiplicity 1)
H 0.5631 0.3652 0.6965 (multiplicity 1)
H 0.7532 0.5136 0.5108 (multiplicity 1)
C 0.5875 0.5118 0.5971 (multiplicity 1)
Br 0.0096 0.5562 0.0361 (multiplicity 1)
Br 0.0750 0.0115 0.5641 (multiplicity 1)
Br 0.5493 0.0145 0.0067 (multiplicity 1)

Main lines, in order of falling intensity (2θ from 10° to 90°):
(0 2 0), 2θ = 28.71°, rel. 100; (0 0 1), 2θ = 14.24°, rel. 92; (1 0 0), 2θ = 14.41°, rel. 43; (2 0 0), 2θ = 29.06°, rel. 42; (0 2 -2), 2θ = 41.24°, rel. 32; (0 1 -2), 2θ = 32.32°, rel. 22; (2 0 1), 2θ = 30.76°, rel. 20; (2 2 -2), 2θ = 53.45°, rel. 20; (2 -2 0), 2θ = 41.39°, rel. 18; (0 1 -1), 2θ = 20.30°, rel. 18

=====

Entry 6:
Calculated powder diffractogram of SrPH6CBr3 for Cu Kα, from a structure optimized by DFT (PBE).
Peak positions follow from Bragg's law for the DFT cell and can differ from measured ones.

a = 8.7089 Å, b = 6.1202 Å, c = 8.7262 Å
α = 90.00°, β = 90.06°, γ = 90.00°
Space group Pm (No. 6)
One atom of each set of equivalent atoms:
Sr 0.0000 0.0000 0.0000 (multiplicity 1)
Sr 0.4949 0.0000 0.4955 (multiplicity 1)
P 0.5017 0.5000 0.9103 (multiplicity 1)
P 0.9020 0.5000 0.5033 (multiplicity 1)
H 0.1349 0.3528 0.4041 (multiplicity 2)
H 0.1646 0.5000 0.5800 (multiplicity 1)
H 0.4056 0.5000 0.1668 (multiplicity 1)
H 0.4208 0.3132 0.8591 (multiplicity 2)
H 0.5836 0.3529 0.1493 (multiplicity 2)
H 0.6484 0.5000 0.8442 (multiplicity 1)
H 0.8222 0.5000 0.3638 (multiplicity 1)
H 0.8567 0.3135 0.5876 (multiplicity 2)
C 0.1044 0.5000 0.4696 (multiplicity 1)
C 0.5200 0.5000 0.1146 (multiplicity 1)
Br 0.2428 0.0000 0.7402 (multiplicity 1)
Br 0.2667 0.0000 0.2316 (multiplicity 1)
Br 0.5147 0.5000 0.5259 (multiplicity 1)
Br 0.7316 0.0000 0.7639 (multiplicity 1)
Br 0.7728 0.0000 0.2758 (multiplicity 1)
Br 0.9867 0.5000 0.9796 (multiplicity 1)

Main lines, in order of falling intensity (2θ from 10° to 90°):
(2 0 -2), 2θ = 28.97°, rel. 100; (2 1 0), 2θ = 25.08°, rel. 85; (2 2 -2), 2θ = 41.59°, rel. 73; (1 0 -1), 2θ = 14.37°, rel. 73; (0 2 0), 2θ = 29.18°, rel. 62; (3 0 -1), 2θ = 32.49°, rel. 50; (3 2 -1), 2θ = 44.21°, rel. 35; (4 2 0), 2θ = 51.48°, rel. 34; (4 0 0), 2θ = 41.43°, rel. 31; (0 1 0), 2θ = 14.47°, rel. 31

=====

Entry 7:
Calculated powder diffractogram of H5PbCSBr3 for Cu Kα, from a structure optimized by DFT (PBE).
Peak positions follow from Bragg's law for the DFT cell and can differ from measured ones.

a = 6.0824 Å, b = 6.0330 Å, c = 6.1999 Å
α = 90.00°, β = 94.60°, γ = 90.00°
Space group Pm (No. 6)
One atom of each set of equivalent atoms:
H 0.0000 0.0000 0.0000 (multiplicity 1)
H 0.2047 0.1495 0.1709 (multiplicity 2)
H 0.7878 0.1696 0.3113 (multiplicity 2)
Pb 0.5337 0.5000 0.7436 (multiplicity 1)
C 0.1016 0.0000 0.1539 (multiplicity 1)
S 0.9303 0.0000 0.3802 (multiplicity 1)
Br 0.0555 0.5000 0.7149 (multiplicity 1)
Br 0.5477 0.0000 0.7369 (multiplicity 1)
Br 0.5775 0.5000 0.2347 (multiplicity 1)

Main lines, in order of falling intensity (2θ from 10° to 90°):
(1 0 0), 2θ = 14.64°, rel. 100; (0 0 1), 2θ = 14.33°, rel. 56; (0 2 0), 2θ = 29.61°, rel. 43; (0 0 2), 2θ = 28.89°, rel. 37; (2 1 0), 2θ = 33.06°, rel. 36; (2 0 0), 2θ = 29.47°, rel. 36; (2 2 0), 2θ = 42.27°, rel. 27; (0 2 2), 2θ = 41.85°, rel. 27; (0 1 2), 2θ = 32.56°, rel. 22; (1 1 0), 2θ = 20.77°, rel. 21

=====

Entry 8:
Calculated powder diffractogram of H5PbCSBr3 for Cu Kα, from a structure optimized by DFT (PBE).
Peak positions follow from Bragg's law for the DFT cell and can differ from measured ones.

a = 7.7878 Å, b = 8.5924 Å, c = 15.3830 Å
α = 83.91°, β = 88.61°, γ = 82.18°
Space group P1 (No. 1)
One atom of each set of equivalent atoms:
H 0.0000 0.0000 0.0000 (multiplicity 1)
H 0.0006 0.0395 0.1766 (multiplicity 1)
H 0.0020 0.3980 0.7074 (multiplicity 1)
H 0.0610 0.5763 0.6478 (multiplicity 1)
H 0.0975 0.4774 0.4944 (multiplicity 1)
H 0.1926 0.0908 0.1183 (multiplicity 1)
H 0.2024 0.9128 0.1931 (multiplicity 1)
H 0.2302 0.8704 0.0171 (multiplicity 1)
H 0.2419 0.3242 0.5869 (multiplicity 1)
H 0.5122 0.5776 0.0019 (multiplicity 1)
H 0.5140 0.0461 0.4855 (multiplicity 1)
H 0.5149 0.5045 0.8321 (multiplicity 1)
H 0.6165 0.3861 0.0434 (multiplicity 1)
H 0.6335 0.8685 0.5374 (multiplicity 1)
H 0.6417 0.9936 0.3221 (multiplicity 1)
H 0.6543 0.2939 0.8766 (multiplicity 1)
H 0.7274 0.5091 0.9639 (multiplicity 1)
H 0.7478 0.0198 0.4813 (multiplicity 1)
H 0.7846 0.7937 0.3790 (multiplicity 1)
H 0.8526 0.5143 0.6315 (multiplicity 1)
Pb 0.2466 0.9407 0.7860 (multiplicity 1)
Pb 0.4134 0.4460 0.2948 (multiplicity 1)
Pb 0.7488 0.9280 0.7892 (multiplicity 1)
Pb 0.9149 0.4282 0.2882 (multiplicity 1)
C 0.1228 0.9942 0.1456 (multiplicity 1)
C 0.6022 0.4746 0.9864 (multiplicity 1)
C 0.6317 0.9610 0.4825 (multiplicity 1)
C 0.9899 0.4754 0.6458 (multiplicity 1)
S 0.0690 0.8780 0.0607 (multiplicity 1)
S 0.0725 0.3559 0.5596 (multiplicity 1)
S 0.5041 0.3859 0.9014 (multiplicity 1)
S 0.6158 0.8661 0.3838 (multiplicity 1)
Br 0.0256 0.6955 0.8767 (multiplicity 1)
Br 0.0878 0.6657 0.3783 (multiplicity 1)
Br 0.1865 0.4612 0.1411 (multiplicity 1)
Br 0.2169 0.1898 0.3779 (multiplicity 1)
Br 0.4551 0.1924 0.7046 (multiplicity 1)
Br 0.4683 0.9258 0.9484 (multiplicity 1)
Br 0.5221 0.6951 0.7224 (multiplicity 1)
Br 0.6505 0.6784 0.2025 (multiplicity 1)
Br 0.6742 0.1976 0.2242 (multiplicity 1)
Br 0.6755 0.4292 0.4463 (multiplicity 1)
Br 0.9341 0.1709 0.8704 (multiplicity 1)
Br 0.9899 0.9471 0.6403 (multiplicity 1)

Main lines, in order of falling intensity (2θ from 10° to 90°):
(0 1 1), 2θ = 11.41°, rel. 100; (0 0 2), 2θ = 11.57°, rel. 90; (0 1 -1), 2θ = 12.46°, rel. 65; (-2 1 2), 2θ = 28.79°, rel. 19; (2 2 3), 2θ = 32.84°, rel. 18; (0 2 6), 2θ = 39.33°, rel. 17; (0 4 0), 2θ = 42.72°, rel. 16; (1 2 -2), 2θ = 26.47°, rel. 15; (2 0 -3), 2θ = 29.17°, rel. 15; (0 2 -6), 2θ = 43.29°, rel. 14

=====

Entry 9:
Calculated powder diffractogram of H5PbCSBr3 for Cu Kα, from a structure optimized by DFT (PBE).
Peak positions follow from Bragg's law for the DFT cell and can differ from measured ones.

a = 4.5670 Å, b = 9.0439 Å, c = 11.5438 Å
α = 89.29°, β = 89.24°, γ = 76.08°
Space group P1 (No. 1)
One atom of each set of equivalent atoms:
H 0.0000 0.0000 0.0000 (multiplicity 1)
H 0.0060 0.2288 0.4932 (multiplicity 1)
H 0.1364 0.9402 0.3941 (multiplicity 1)
H 0.2690 0.0800 0.5715 (multiplicity 1)
H 0.3950 0.2305 0.4953 (multiplicity 1)
H 0.4818 0.3065 0.9018 (multiplicity 1)
H 0.5634 0.9428 0.3952 (multiplicity 1)
H 0.5817 0.0983 0.8199 (multiplicity 1)
H 0.6029 0.0487 0.0336 (multiplicity 1)
H 0.8338 0.1757 0.0736 (multiplicity 1)
Pb 0.0406 0.5804 0.2112 (multiplicity 1)
Pb 0.9807 0.6558 0.7193 (multiplicity 1)
C 0.2363 0.1568 0.4961 (multiplicity 1)
C 0.7980 0.0934 0.0095 (multiplicity 1)
S 0.2986 0.0486 0.3632 (multiplicity 1)
S 0.7396 0.1931 0.8716 (multiplicity 1)
Br 0.0830 0.4847 0.9562 (multiplicity 1)
Br 0.3823 0.8933 0.7707 (multiplicity 1)
Br 0.4384 0.7975 0.1525 (multiplicity 1)
Br 0.5878 0.4507 0.6516 (multiplicity 1)
Br 0.6452 0.3592 0.2716 (multiplicity 1)
Br 0.9384 0.7556 0.4564 (multiplicity 1)

Main lines, in order of falling intensity (2θ from 10° to 90°):
(0 1 0), 2θ = 10.08°, rel. 100; (0 0 2), 2θ = 15.35°, rel. 36; (1 2 0), 2θ = 24.88°, rel. 27; (1 -1 0), 2θ = 24.58°, rel. 23; (0 1 -2), 2θ = 18.48°, rel. 20; (0 1 2), 2θ = 18.32°, rel. 20; (1 -2 2), 2θ = 35.63°, rel. 18; (2 1 0), 2θ = 39.47°, rel. 18; (-1 1 1), 2θ = 25.78°, rel. 17; (1 2 2), 2θ = 29.16°, rel. 17